Diffraction record for Ca3MnCoO6. The X-ray diffraction stick pattern is simulated, not measured: it uses a DFT-relaxed cell (PBE+U, Alexandria) and a wavelength of 1.5418 Å.

Structure:
a = 6.395 Å, b = 6.410 Å, c = 6.417 Å
α = 92.26°, β = 92.14°, γ = 92.10°
Element x y z (fractional)
Ca: 0.111 0.247 0.389
Ca: 0.249 0.110 0.890
Ca: 0.389 0.612 0.752
Ca: 0.611 0.388 0.248
Ca: 0.751 0.890 0.110
Ca: 0.889 0.753 0.611
Mn: 0.000 0.500 0.000
Mn: 0.500 0.000 0.500
Co: 0.252 0.745 0.253
Co: 0.748 0.255 0.747
O: 0.043 0.415 0.712
O: 0.083 0.786 0.953
O: 0.212 0.920 0.548
O: 0.289 0.454 0.080
O: 0.415 0.045 0.214
O: 0.457 0.289 0.584
O: 0.543 0.711 0.416
O: 0.585 0.955 0.786
O: 0.711 0.546 0.920
O: 0.788 0.080 0.452
O: 0.917 0.214 0.047
O: 0.957 0.585 0.288

Top 10 peaks for 2θ = 5–70°, sorted by position:
two_theta	Rel. int.
19.2	84
31.8	60
33.6	100
33.7	50
40.7	43
45.3	50
45.4	25
46.9	36
47.0	38
53.8	21